This entry pairs a crystal structure of SmBi3 with its simulated powder diffraction line list. Radiation: Cu Kα X-rays. Structure: a cell relaxed with GGA-PBE.
Peak positions follow from Bragg's law for the DFT cell and can differ from measured ones.

Cell and atoms:
a b c (Å): 6.8751 6.8751 6.0747
angles (deg): 90.00 90.00 120.00
Space group P6_3/mmc (No. 194)
Inequivalent atoms, fractional coordinates:
Sm (0.3333, 0.6667, 0.2500)
Bi (0.1726, 0.3452, 0.7500)

Peak list (10 most intense, 2θ = 10–90°, in order of rising 2θ)
d 3.037, rel. 31, (0 0 2); d 2.977, rel. 22, (2 0 0); d 2.673, rel. 100, (2 0 1); d 2.126, rel. 18, (2 0 2); d 1.719, rel. 18, (2 2 0); d 1.674, rel. 25, (2 0 3); d 1.496, rel. 23, (2 2 2); d 1.446, rel. 15, (4 0 1); d 1.138, rel. 10, (2 2 4); d 1.106, rel. 14, (4 2 1)

---

This entry pairs a crystal structure of Sm5Bi3 with its simulated powder diffraction line list. Radiation: Cu Kα X-rays. Structure: a cell relaxed with GGA-PBE.
Peak positions follow from Bragg's law for the DFT cell and can differ from measured ones.

Cell and atoms:
a b c (Å): 16.265 9.402 6.493
angles (deg): 90.00 90.00 90.00
Space group Cmcm (No. 63)
Inequivalent atoms, fractional coordinates:
Sm (0.000, 0.246, 0.250)
Sm (0.123, 0.123, 0.750)
Sm (0.167, 0.500, 0.000)
Bi (0.000, 0.388, 0.750)
Bi (0.194, 0.194, 0.250)

Peak list (10 most intense, 2θ = 10–90°, in order of rising 2θ)
d 3.247, rel. 24, (0 0 2); d 3.076, rel. 22, (4 2 0); d 2.780, rel. 100, (5 1 1); d 2.712, rel. 55, (6 0 0); d 2.671, rel. 77, (3 1 2); d 2.132, rel. 21, (7 1 1); d 1.903, rel. 18, (6 2 2); d 1.770, rel. 27, (5 1 3); d 1.455, rel. 20, (10 0 2); d 1.393, rel. 15, (6 0 4)

---

This entry pairs a crystal structure of SmBi with its simulated powder diffraction line list. Radiation: Cu Kα X-rays. Structure: a cell relaxed with GGA-PBE.
Peak positions follow from Bragg's law for the DFT cell and can differ from measured ones.

Cell and atoms:
a b c (Å): 6.447 6.447 6.447
angles (deg): 90.00 90.00 90.00
Space group Fm-3m (No. 225)
Inequivalent atoms, fractional coordinates:
Sm (0.000, 0.000, 0.000)
Bi (0.000, 0.000, 0.500)

Peak list (10 most intense, 2θ = 10–90°, in order of rising 2θ)
d 3.722, rel. 5, (1 1 1); d 3.224, rel. 100, (2 0 0); d 2.279, rel. 79, (2 2 0); d 1.944, rel. 3, (3 1 1); d 1.861, rel. 29, (2 2 2); d 1.612, rel. 14, (4 0 0); d 1.479, rel. 1, (3 3 1); d 1.442, rel. 38, (4 2 0); d 1.316, rel. 28, (4 2 2); d 1.140, rel. 9, (4 4 0)

---

This entry pairs a crystal structure of Sm4Bi3 with its simulated powder diffraction line list. Radiation: Cu Kα X-rays. Structure: a cell relaxed with GGA-PBE.
Peak positions follow from Bragg's law for the DFT cell and can differ from measured ones.

Cell and atoms:
a b c (Å): 9.581 9.581 9.581
angles (deg): 90.00 90.00 90.00
Space group I-43d (No. 220)
Inequivalent atoms, fractional coordinates:
Sm (0.072, 0.428, 0.572)
Bi (0.000, 0.250, 0.875)

Peak list (10 most intense, 2θ = 10–90°, in order of rising 2θ)
d 3.911, rel. 12, (2 1 1); d 3.030, rel. 100, (3 1 0); d 2.561, rel. 66, (3 2 1); d 2.142, rel. 20, (4 2 0); d 2.043, rel. 14, (3 3 2); d 1.956, rel. 13, (4 2 2); d 1.879, rel. 20, (4 3 1); d 1.554, rel. 31, (6 1 1); d 1.478, rel. 15, (5 4 1); d 1.304, rel. 20, (7 2 1)

---

This entry pairs a crystal structure of Sm3Bi14Te24 with its simulated powder diffraction line list. Radiation: Cu Kα X-rays. Structure: a cell relaxed with GGA-PBE.
Peak positions follow from Bragg's law for the DFT cell and can differ from measured ones.

Cell and atoms:
a b c (Å): 8.269 8.415 21.172
angles (deg): 97.18 97.11 109.05
Space group P1 (No. 1)
Inequivalent atoms, fractional coordinates:
Sm (0.000, 0.000, 0.000)
Sm (0.066, 0.458, 0.277)
Sm (0.697, 0.955, 0.160)
Bi (0.005, 0.292, 0.819)
Bi (0.027, 0.554, 0.065)
Bi (0.183, 0.056, 0.459)
Bi (0.231, 0.006, 0.243)
Bi (0.360, 0.885, 0.741)
Bi (0.365, 0.615, 0.488)
Bi (0.394, 0.771, 0.942)
Bi (0.499, 0.380, 0.115)
Bi (0.580, 0.325, 0.898)
Bi (0.642, 0.687, 0.328)
Bi (0.722, 0.082, 0.617)
Bi (0.735, 0.234, 0.421)
Bi (0.829, 0.735, 0.773)
Bi (0.909, 0.655, 0.575)
Te (0.038, 0.036, 0.708)
Te (0.042, 0.553, 0.701)
Te (0.045, 0.329, 0.530)
Te (0.072, 0.200, 0.152)
Te (0.239, 0.371, 0.990)
Te (0.245, 0.011, 0.873)
Te (0.277, 0.906, 0.575)
Te (0.317, 0.933, 0.080)
Te (0.353, 0.849, 0.363)
Te (0.370, 0.382, 0.361)
Te (0.392, 0.653, 0.201)
Te (0.410, 0.541, 0.823)
Te (0.552, 0.328, 0.530)
Te (0.572, 0.724, 0.653)
Te (0.632, 0.263, 0.238)
Te (0.638, 0.270, 0.751)
Te (0.692, 0.703, 0.035)
Te (0.720, 0.210, 0.034)
Te (0.745, 0.874, 0.491)
Te (0.747, 0.001, 0.874)
Te (0.904, 0.684, 0.198)
Te (0.926, 0.063, 0.316)
Te (0.943, 0.586, 0.404)
Te (0.973, 0.620, 0.917)

Peak list (10 most intense, 2θ = 10–90°, in order of rising 2θ)
d 3.081, rel. 79, (-1 1 6); d 3.067, rel. 55, (1 2 -3); d 3.058, rel. 87, (2 1 0); d 3.044, rel. 100, (-2 2 3); d 2.609, rel. 24, (-1 3 2); d 2.598, rel. 33, (0 3 -3); d 2.588, rel. 32, (1 0 -8); d 2.581, rel. 16, (1 2 -6); d 2.567, rel. 32, (3 -1 2); d 2.556, rel. 31, (-3 1 4)

---

This entry pairs a crystal structure of SmBiTe3 with its simulated powder diffraction line list. Radiation: Cu Kα X-rays. Structure: a cell relaxed with GGA-PBE.
Peak positions follow from Bragg's law for the DFT cell and can differ from measured ones.

Cell and atoms:
a b c (Å): 4.4505 4.4505 31.5954
angles (deg): 90.00 90.00 120.00
Space group R3m (No. 160, hexagonal axes)
Inequivalent atoms, fractional coordinates:
Sm (0.0000, 0.0000, 0.0000)
Bi (0.0000, 0.0000, 0.7993)
Te (0.0000, 0.0000, 0.1860)
Te (0.0000, 0.0000, 0.3964)
Te (0.0000, 0.0000, 0.6135)

Peak list (10 most intense, 2θ = 10–90°, in order of rising 2θ)
d 5.266, rel. 9, (0 0 6); d 3.290, rel. 100, (0 1 5); d 2.443, rel. 37, (1 0 10); d 2.303, rel. 7, (0 1 11); d 2.225, rel. 37, (1 1 0); d 1.843, rel. 19, (2 0 5); d 1.645, rel. 11, (0 2 10); d 1.530, rel. 13, (1 1 15); d 1.420, rel. 16, (1 2 5); d 1.323, rel. 11, (2 1 10)

---

This entry pairs a crystal structure of Sn3Bi with its simulated powder diffraction line list. Radiation: Cu Kα X-rays. Structure: a cell relaxed with GGA-PBE.
Peak positions follow from Bragg's law for the DFT cell and can differ from measured ones.

Cell and atoms:
a b c (Å): 4.893 4.893 4.893
angles (deg): 90.00 90.00 90.00
Space group Pm-3m (No. 221)
Inequivalent atoms, fractional coordinates:
Sn (0.000, 0.000, 0.500)
Bi (0.500, 0.500, 0.500)

Peak list (10 most intense, 2θ = 10–90°, in order of rising 2θ)
d 4.893, rel. 6, (1 0 0); d 3.460, rel. 5, (1 1 0); d 2.825, rel. 100, (1 1 1); d 2.446, rel. 51, (2 0 0); d 1.730, rel. 37, (2 2 0); d 1.475, rel. 44, (3 1 1); d 1.412, rel. 13, (2 2 2); d 1.223, rel. 6, (4 0 0); d 1.122, rel. 20, (3 3 1); d 1.094, rel. 19, (4 2 0)

---

This entry pairs a crystal structure of Sn3Bi with its simulated powder diffraction line list. Radiation: Cu Kα X-rays. Structure: a cell relaxed with GGA-PBE.
Peak positions follow from Bragg's law for the DFT cell and can differ from measured ones.

Cell and atoms:
a b c (Å): 7.698 7.698 7.698
angles (deg): 90.00 90.00 90.00
Space group Fm-3m (No. 225)
Inequivalent atoms, fractional coordinates:
Sn (0.000, 0.000, 0.000)
Sn (0.250, 0.250, 0.250)
Bi (0.000, 0.000, 0.500)

Peak list (10 most intense, 2θ = 10–90°, in order of rising 2θ)
d 4.444, rel. 5, (1 1 1); d 3.849, rel. 3, (2 0 0); d 2.722, rel. 100, (2 2 0); d 2.321, rel. 3, (3 1 1); d 1.925, rel. 19, (4 0 0); d 1.766, rel. 1, (3 3 1); d 1.571, rel. 40, (4 2 2); d 1.361, rel. 13, (4 4 0); d 1.217, rel. 18, (6 2 0); d 1.111, rel. 5, (4 4 4)